# 1
The following is a calculated powder diffraction line list of LiMnP2O7. It was derived from the PBE+U geometry in the Materials Project, using Cu Ka.
Intensities are scaled so that the largest is 100.

Atomic structure:
```
LiMnP2O7
1.0
6.325 0.000 0.000
2.959 8.901 0.000
0.619 4.237 9.778
Li Mn P O
4 4 8 28
direct
0.000 0.000 0.000 Li
0.100 0.662 0.972 Li
0.490 0.300 0.521 Li
0.652 0.742 0.093 Li
0.290 0.893 0.285 Mn
0.390 0.284 0.252 Mn
0.669 0.314 0.754 Mn
0.758 0.702 0.715 Mn
0.091 0.606 0.283 P
0.151 0.357 0.805 P
0.333 0.992 0.548 P
0.459 0.101 0.046 P
0.608 0.503 0.960 P
0.713 0.600 0.455 P
0.908 0.239 0.199 P
0.946 0.986 0.718 P
0.016 0.065 0.201 O
0.041 0.533 0.794 O
0.049 0.902 0.865 O
0.075 0.310 0.230 O
0.109 0.067 0.611 O
0.128 0.736 0.323 O
0.250 0.259 0.963 O
0.274 0.918 0.455 O
0.314 0.463 0.309 O
0.351 0.337 0.719 O
0.391 0.947 0.072 O
0.398 0.489 0.032 O
0.420 0.134 0.473 O
0.468 0.107 0.189 O
0.476 0.857 0.678 O
0.568 0.726 0.320 O
0.606 0.500 0.813 O
0.622 0.461 0.535 O
0.666 0.112 0.969 O
0.677 0.652 0.944 O
0.706 0.259 0.284 O
0.734 0.137 0.694 O
0.769 0.682 0.539 O
0.814 0.341 0.041 O
0.900 0.868 0.667 O
0.939 0.519 0.396 O
0.974 0.677 0.141 O
0.989 0.274 0.786 O
```

The 10 most intense peaks (5 to 70 degrees two-theta), in order of rising 2θ:
2θ/deg  intensity  (hkl)
11.01  78  0 1 1
16.75  75  1 0 -1
17.96  68  1 0 1
18.14  75  0 0 2
21.02  47  1 -1 0
22.12  79  0 2 2
23.37  100  1 2 2
25.04  50  1 -1 1
30.19  36  1 0 -3
34.09  39  2 2 -1

# 2
The following is a calculated powder diffraction line list of LiMnPO4. It was derived from the PBE+U geometry in the Materials Project, using Cu Ka.
Intensities are scaled so that the largest is 100.

Atomic structure:
```
LiMnPO4
1.0
5.899 0.000 0.000
0.000 7.667 0.000
0.000 0.000 13.951
Li Mn P O
8 8 8 32
direct
0.081 0.170 0.027 Li
0.081 0.330 0.527 Li
0.419 0.670 0.027 Li
0.419 0.830 0.527 Li
0.581 0.170 0.473 Li
0.581 0.330 0.973 Li
0.919 0.670 0.473 Li
0.919 0.830 0.973 Li
0.148 0.681 0.708 Mn
0.148 0.819 0.208 Mn
0.352 0.181 0.708 Mn
0.352 0.319 0.208 Mn
0.648 0.681 0.792 Mn
0.648 0.819 0.292 Mn
0.852 0.181 0.792 Mn
0.852 0.319 0.292 Mn
0.108 0.038 0.374 P
0.108 0.462 0.874 P
0.392 0.538 0.374 P
0.392 0.962 0.874 P
0.608 0.038 0.126 P
0.608 0.462 0.626 P
0.892 0.538 0.126 P
0.892 0.962 0.626 P
0.021 0.139 0.643 O
0.021 0.361 0.143 O
0.055 0.677 0.082 O
0.055 0.823 0.582 O
0.162 0.099 0.268 O
0.162 0.401 0.768 O
0.175 0.512 0.431 O
0.175 0.988 0.931 O
0.325 0.012 0.431 O
0.325 0.488 0.931 O
0.338 0.599 0.268 O
0.338 0.901 0.768 O
0.445 0.177 0.082 O
0.445 0.323 0.582 O
0.479 0.639 0.643 O
0.479 0.861 0.143 O
0.521 0.139 0.857 O
0.521 0.361 0.357 O
0.555 0.677 0.418 O
0.555 0.823 0.918 O
0.662 0.099 0.232 O
0.662 0.401 0.732 O
0.675 0.512 0.069 O
0.675 0.988 0.569 O
0.825 0.012 0.069 O
0.825 0.488 0.569 O
0.838 0.599 0.232 O
0.838 0.901 0.732 O
0.945 0.177 0.418 O
0.945 0.323 0.918 O
0.979 0.639 0.857 O
0.979 0.861 0.357 O
```

The 10 most intense peaks (5 to 70 degrees two-theta), in order of rising 2θ:
2θ/deg  intensity  (hkl)
12.69  100  0 0 2
20.03  24  1 1 1
22.90  22  1 1 2
27.04  18  1 1 3
29.76  23  1 0 4
30.21  16  0 2 3
30.62  57  1 2 2
33.17  39  2 1 1
33.90  27  1 2 3
47.90  20  0 4 1

# 3
The following is a calculated powder diffraction line list of LiMnPO4. It was derived from the PBE+U geometry in the Materials Project, using Cu Ka.
Intensities are scaled so that the largest is 100.

Atomic structure:
```
LiMnPO4
1.0
5.139 0.000 0.000
0.000 10.292 0.000
-5.119 0.000 6.911
Li Mn P O
4 4 4 16
direct
0.197 0.154 0.001 Li
0.197 0.346 0.501 Li
0.803 0.654 0.499 Li
0.803 0.846 0.999 Li
0.301 0.653 0.000 Mn
0.301 0.847 0.500 Mn
0.699 0.153 0.500 Mn
0.699 0.347 0.000 Mn
0.058 0.596 0.253 P
0.058 0.904 0.753 P
0.942 0.096 0.247 P
0.942 0.404 0.747 P
0.000 0.052 0.755 O
0.000 0.448 0.255 O
0.000 0.552 0.745 O
0.000 0.948 0.245 O
0.114 0.661 0.433 O
0.114 0.839 0.933 O
0.243 0.158 0.436 O
0.243 0.342 0.936 O
0.359 0.621 0.255 O
0.359 0.879 0.755 O
0.641 0.121 0.245 O
0.641 0.379 0.745 O
0.757 0.658 0.064 O
0.757 0.842 0.564 O
0.886 0.161 0.067 O
0.886 0.339 0.567 O
```

The 10 most intense peaks (5 to 70 degrees two-theta), in order of rising 2θ:
2θ/deg  intensity  (hkl)
15.44  33  0 1 1
21.55  100  1 0 -2
23.22  52  1 1 0
29.06  21  0 3 1
31.18  23  0 2 2
32.41  15  1 1 1
34.89  59  2 0 -2
35.85  18  1 2 -3
44.01  13  1 1 -4
60.23  14  0 6 2

# 4
The following is a calculated powder diffraction line list of LiMnP2O7. It was derived from the PBE+U geometry in the Materials Project, using Cu Ka.
Intensities are scaled so that the largest is 100.

Atomic structure:
```
LiMnP2O7
1.0
5.006 0.000 0.000
0.255 6.056 0.000
0.262 2.359 8.664
Li Mn P O
2 2 4 14
direct
0.205 0.301 0.029 Li
0.795 0.699 0.971 Li
0.251 0.967 0.748 Mn
0.749 0.033 0.252 Mn
0.222 0.289 0.366 P
0.277 0.745 0.163 P
0.723 0.255 0.837 P
0.778 0.711 0.634 P
0.066 0.735 0.683 O
0.084 0.948 0.167 O
0.209 0.638 0.034 O
0.249 0.565 0.330 O
0.280 0.195 0.533 O
0.421 0.214 0.252 O
0.430 0.176 0.853 O
0.570 0.824 0.147 O
0.579 0.786 0.748 O
0.720 0.805 0.467 O
0.751 0.435 0.670 O
0.791 0.362 0.966 O
0.916 0.052 0.833 O
0.934 0.265 0.317 O
```

The 10 most intense peaks (5 to 70 degrees two-theta), in order of rising 2θ:
2θ/deg  intensity  (hkl)
15.16  42  0 1 0
20.50  71  0 0 2
23.35  75  1 1 1
24.46  100  -1 1 1
28.70  76  0 1 -2
34.01  21  1 2 1
35.10  16  1 1 3
35.92  30  2 0 0
36.20  23  1 0 -3
38.22  13  0 1 -3

# 5
The following is a calculated powder diffraction line list of LiMnP2O7. It was derived from the PBE+U geometry in the Materials Project, using Cu Ka.
Intensities are scaled so that the largest is 100.

Atomic structure:
```
LiMnP2O7
1.0
8.412 0.000 0.000
0.000 5.167 0.000
-6.263 0.000 12.368
Li Mn P O
4 4 8 28
direct
0.000 0.004 0.000 Li
0.000 0.996 0.500 Li
0.436 0.461 0.393 Li
0.436 0.539 0.893 Li
0.172 0.000 0.285 Mn
0.172 0.000 0.785 Mn
0.705 0.481 0.826 Mn
0.705 0.519 0.326 Mn
0.130 0.484 0.429 P
0.130 0.516 0.929 P
0.265 0.491 0.667 P
0.265 0.509 0.167 P
0.611 0.023 0.951 P
0.611 0.977 0.451 P
0.749 0.035 0.194 P
0.749 0.965 0.694 P
0.114 0.192 0.407 O
0.114 0.808 0.907 O
0.140 0.308 0.176 O
0.140 0.692 0.676 O
0.211 0.209 0.667 O
0.211 0.791 0.167 O
0.215 0.369 0.869 O
0.215 0.631 0.369 O
0.273 0.469 0.054 O
0.273 0.531 0.554 O
0.421 0.080 0.379 O
0.421 0.920 0.879 O
0.455 0.444 0.252 O
0.455 0.556 0.752 O
0.613 0.010 0.067 O
0.613 0.990 0.567 O
0.636 0.311 0.934 O
0.636 0.689 0.434 O
0.669 0.135 0.748 O
0.669 0.865 0.248 O
0.752 0.152 0.447 O
0.752 0.848 0.947 O
0.760 0.321 0.225 O
0.760 0.679 0.725 O
0.927 0.066 0.702 O
0.927 0.934 0.202 O
0.957 0.393 0.920 O
0.957 0.607 0.420 O
```

The 10 most intense peaks (5 to 70 degrees two-theta), in order of rising 2θ:
2θ/deg  intensity  (hkl)
14.32  50  0 0 2
22.11  100  1 1 -2
23.71  55  2 0 0
31.09  38  1 1 -4
33.05  12  2 0 2
34.72  18  0 2 0
36.50  9  3 1 -2
37.58  8  3 1 -1
39.22  10  2 0 -6
63.40  8  3 3 -2

# 6
The following is a calculated powder diffraction line list of LiMn2P2O8. It was derived from the PBE+U geometry in the Materials Project, using Cu Ka.
Intensities are scaled so that the largest is 100.

Atomic structure:
```
LiMn2P2O8
1.0
4.599 0.000 0.000
1.218 5.109 0.000
1.671 0.014 7.302
Li Mn P O
1 2 2 8
direct
0.000 0.000 0.000 Li
0.658 0.542 0.419 Mn
0.710 0.054 0.649 Mn
0.036 0.494 0.749 P
0.324 0.143 0.284 P
0.331 0.042 0.098 O
0.377 0.399 0.644 O
0.465 0.391 0.262 O
0.500 0.930 0.403 O
0.860 0.658 0.599 O
0.912 0.247 0.807 O
0.984 0.218 0.403 O
0.994 0.686 0.898 O
```

The 10 most intense peaks (5 to 70 degrees two-theta), in order of rising 2θ:
2θ/deg  intensity  (hkl)
12.12  100  0 0 1
17.36  12  0 1 0
24.45  21  1 1 1
25.95  61  1 0 -1
28.64  12  1 1 -1
30.11  19  0 1 -2
30.48  24  1 -1 1
30.73  25  1 1 2
35.13  12  0 2 0
40.12  21  1 1 3